Theoretical PXRD pattern
Compound: Dy4CrGe8
Radiation: a wavelength of 1.5418 Å
Structure: a GGA-PBE-relaxed structure
Neutral-atom scattering factors, no anomalous dispersion.

Structural model:
a = 4.019 Å, b = 4.144 Å, c = 16.210 Å
α = 90.00°, β = 90.00°, γ = 90.00°
Fractional positions:
Dy (0.000, 0.000, 0.000)
Dy (0.000, 0.500, 0.488)
Dy (0.500, 0.000, 0.203)
Dy (0.500, 0.500, 0.698)
Cr (0.000, 0.000, 0.782)
Ge (0.000, 0.000, 0.348)
Ge (0.000, 0.000, 0.632)
Ge (0.000, 0.500, 0.156)
Ge (0.000, 0.500, 0.865)
Ge (0.500, 0.000, 0.529)
Ge (0.500, 0.000, 0.867)
Ge (0.500, 0.500, 0.052)
Ge (0.500, 0.500, 0.343)

Peak list (10 most intense, 10 to 80 degrees two-theta, by angle)
hkl 1 0 2, 2θ 24.73, rel. 16
hkl 0 0 6, 2θ 33.16, rel. 15
hkl 0 1 5, 2θ 35.15, rel. 18
hkl 1 1 3, 2θ 35.27, rel. 100
hkl 1 0 6, 2θ 40.22, rel. 14
hkl 0 2 0, 2θ 43.69, rel. 19
hkl 2 0 0, 2θ 45.13, rel. 18
hkl 2 2 0, 2θ 64.62, rel. 12
hkl 1 3 3, 2θ 74.76, rel. 14
hkl 3 1 3, 2θ 76.84, rel. 10